# Cs2Np2Se2S
Simulated powder X-ray diffraction pattern, CuKα. Input: a PBE-relaxed structure.
Kinematic intensities with the Lorentz-polarization factor, no thermal factor.

Structural model:
```
Cs2Np2Se2S
1.0
5.219 0.000 0.000
0.000 5.219 0.000
0.000 0.000 18.136
Cs Np Se S
4 4 4 2
direct
0.000 0.000 0.186 Cs
0.000 0.000 0.814 Cs
0.500 0.500 0.314 Cs
0.500 0.500 0.686 Cs
0.000 0.500 0.000 Np
0.000 0.500 0.500 Np
0.500 0.000 0.000 Np
0.500 0.000 0.500 Np
0.000 0.000 0.399 Se
0.000 0.000 0.601 Se
0.500 0.500 0.101 Se
0.500 0.500 0.899 Se
0.000 0.000 0.000 S
0.500 0.500 0.500 S
```

The 10 most intense peaks (5 to 70 degrees two-theta), in order of falling intensity:
| index | d [Å] | I_rel |
| --- | --- | --- |
| 1 1 2 | 3.418 | 100 |
| 0 0 2 | 9.068 | 94 |
| 2 0 0 | 2.610 | 66 |
| 1 1 4 | 2.862 | 65 |
| 1 0 5 | 2.979 | 42 |
| 1 1 8 | 1.932 | 27 |
| 3 1 2 | 1.624 | 25 |
| 2 1 5 | 1.963 | 25 |
| 2 2 0 | 1.845 | 24 |
| 2 0 6 | 1.975 | 22 |